(1)
Theoretical powder diffractogram of AlCr2Os2 for λ = 1.5418 Å (Cu Kα), from a PBE-relaxed structure.
Lines closer than 0.1° are merged.

Structural model:
```
data_AlCr2Os2
_chemical_formula_sum 'Al4 Cr8 Os8'
_cell_length_a 12.2744
_cell_length_b 4.3359
_cell_length_c 5.1820
_cell_angle_alpha 90.00
_cell_angle_beta 102.43
_cell_angle_gamma 90.00
_symmetry_space_group_name_H-M 'C 1 2/c 1'
_symmetry_Int_Tables_number 15
_symmetry_space_group_name_Hall '-C 2yc'
loop_
_atom_site_label
_atom_site_type_symbol
_atom_site_fract_x
_atom_site_fract_y
_atom_site_fract_z
_atom_site_occupancy
Al1 Al 0.0000 0.0727 0.2500 1
Cr1 Cr 0.2035 0.0076 0.0391 1
Os1 Os 0.1041 0.4236 0.6650 1
```

Main lines, by intensity (10 to 90 degrees two-theta):
2θ 21.80, I = 100, hkl 1 1 0
2θ 43.12, I = 86, hkl 5 1 0
2θ 43.34, I = 84, hkl 3 1 -2
2θ 41.64, I = 81, hkl 2 0 2
2θ 43.45, I = 36, hkl 1 1 2
2θ 29.81, I = 35, hkl 4 0 0
2θ 45.52, I = 29, hkl 0 2 1
2θ 29.11, I = 28, hkl 1 1 1
2θ 32.73, I = 20, hkl 3 1 -1
2θ 41.46, I = 18, hkl 4 0 -2

(2)
Theoretical powder diffractogram of PrAl20Cr2 for λ = 1.5418 Å (Cu Kα), from a PBE-relaxed structure.
Lines closer than 0.1° are merged.

Structural model:
a b c (Å): 14.4861 14.4861 14.4861
angles (deg): 90.00 90.00 90.00
Space group Fd-3m (No. 227, origin choice 2)
One atom of each set of equivalent atoms:
Pr: 0.1250 0.1250 0.1250 x8
Al: 0.0000 0.0000 0.0000 x16
Al: 0.0114 0.3750 0.8750 x48
Al: 0.0579 0.0579 0.3273 x96
Cr: 0.0000 0.0000 0.5000 x16

Main lines, by intensity (10 to 90 degrees two-theta):
2θ 36.70, I = 100, hkl 5 3 1
2θ 40.85, I = 98, hkl 5 3 3
2θ 20.33, I = 94, hkl 3 1 1
2θ 41.34, I = 75, hkl 6 2 2
2θ 39.34, I = 68, hkl 6 2 0
2θ 17.31, I = 54, hkl 2 2 0
2θ 35.04, I = 49, hkl 4 4 0
2θ 53.69, I = 47, hkl 6 6 0
2θ 74.04, I = 43, hkl 8 8 0
2θ 65.74, I = 27, hkl 10 2 0

(3)
Theoretical powder diffractogram of AlCr3Re2 for λ = 1.5418 Å (Cu Kα), from a PBE-relaxed structure.
Lines closer than 0.1° are merged.

Structural model:
```
data_AlCr3Re2
_chemical_formula_sum 'Al3 Cr9 Re6'
_cell_length_a 4.7245
_cell_length_b 4.7245
_cell_length_c 12.0899
_cell_angle_alpha 90.00
_cell_angle_beta 90.00
_cell_angle_gamma 120.00
_symmetry_space_group_name_H-M 'R -3 m'
_symmetry_Int_Tables_number 166
_symmetry_space_group_name_Hall '-R 3 2"'
loop_
_atom_site_label
_atom_site_type_symbol
_atom_site_fract_x
_atom_site_fract_y
_atom_site_fract_z
_atom_site_occupancy
Al1 Al 0.0000 0.0000 0.0000 1
Cr1 Cr 0.0000 0.5000 0.5000 1
Re1 Re 0.0000 0.0000 0.3801 1
```

Main lines, by intensity (10 to 90 degrees two-theta):
2θ 36.98, I = 100, hkl 1 0 4
2θ 44.45, I = 77, hkl 1 1 3
2θ 22.95, I = 74, hkl 1 0 1
2θ 38.09, I = 70, hkl 1 1 0
2θ 44.94, I = 62, hkl 0 2 1
2θ 43.47, I = 59, hkl 0 1 5
2θ 68.11, I = 33, hkl 2 1 4
2θ 72.56, I = 26, hkl 1 2 5
2θ 78.72, I = 20, hkl 2 0 8
2θ 81.49, I = 20, hkl 2 2 0

(4)
Theoretical powder diffractogram of AlCrS2 for λ = 1.5418 Å (Cu Kα), from a PBE-relaxed structure.
Lines closer than 0.1° are merged.

Structural model:
```
data_AlCrS2
_chemical_formula_sum 'Al3 Cr3 S6'
_cell_length_a 3.3427
_cell_length_b 3.3427
_cell_length_c 22.2824
_cell_angle_alpha 90.00
_cell_angle_beta 90.00
_cell_angle_gamma 120.00
_symmetry_space_group_name_H-M 'R -3 m'
_symmetry_Int_Tables_number 166
_symmetry_space_group_name_Hall '-R 3 2"'
loop_
_atom_site_label
_atom_site_type_symbol
_atom_site_fract_x
_atom_site_fract_y
_atom_site_fract_z
_atom_site_occupancy
Al1 Al 0.0000 0.0000 0.0000 1
Cr1 Cr 0.0000 0.0000 0.5000 1
S1 S 0.0000 0.0000 0.1064 1
```

Main lines, by intensity (10 to 90 degrees two-theta):
2θ 11.92, I = 100, hkl 0 0 3
2θ 31.94, I = 81, hkl 0 1 2
2θ 37.03, I = 47, hkl 0 1 5
2θ 45.17, I = 44, hkl 0 1 8
2θ 51.77, I = 40, hkl 1 0 10
2θ 54.94, I = 35, hkl 1 1 0
2θ 78.86, I = 11, hkl 0 2 10
2θ 73.77, I = 9, hkl 2 0 8
2θ 64.97, I = 9, hkl 2 0 2
2θ 23.96, I = 9, hkl 0 0 6